This entry pairs a crystal structure of Li2PmAsS with its simulated powder XRD pattern. Radiation: Cu Kα X-rays. Structure: a PBE-relaxed structure.

Cell and atoms:
Unit cell a=4.1736 b=4.1736 c=6.3101 alpha=90.00 beta=90.00 gamma=90.00
Space group P4mm (No. 99)
Inequivalent atoms, fractional coordinates:
Li: 0.0000 0.5000 0.0000 [2 per cell]
Pm: 0.0000 0.0000 0.5819 [1 per cell]
As: 0.5000 0.5000 0.7011 [1 per cell]
S: 0.0000 0.0000 0.1577 [1 per cell]

Top 10 peaks for 10° ≤ 2θ ≤ 80°, low angle first:
| (hkl) | 2theta | d/Å | intensity |
| --- | --- | --- | --- |
| 0 0 1 | 14.04 | 6.310 | 1000 |
| 1 0 0 | 21.29 | 4.174 | 304 |
| 1 0 1 | 25.59 | 3.481 | 292 |
| 0 0 2 | 28.29 | 3.155 | 282 |
| 1 1 0 | 30.29 | 2.951 | 712 |
| 1 1 1 | 33.52 | 2.673 | 611 |
| 1 0 2 | 35.67 | 2.517 | 422 |
| 1 1 2 | 41.92 | 2.155 | 381 |
| 2 0 0 | 43.36 | 2.087 | 306 |
| 1 0 3 | 48.46 | 1.878 | 280 |